Record 1
This entry pairs a crystal structure of Ti6Re5Tc with its theoretical powder diffractogram. Radiation: Cu Ka. Structure: a structure optimized by DFT (GGA-PBE).
Intensities are scaled so that the largest is 100.

Principal peaks in the range 10° ≤ 2θ ≤ 80°, low angle first:
6.599 Å, rel. 1
6.229 Å, rel. 1
4.530 Å, rel. 1
4.179 Å, rel. 1
3.470 Å, rel. 1
3.113 Å, rel. 41
2.785 Å, rel. 1
2.202 Å, rel. 100
1.798 Å, rel. 12
1.557 Å, rel. 17
1.392 Å, rel. 16
1.271 Å, rel. 33

Crystal structure
```
Ti6Re5Tc
1.0
2.2027 -6.5992 0.0000
2.2027 6.5992 0.0000
0.0000 0.0000 6.2289
Ti Re Tc
6 5 1
direct
0.0000 0.0000 0.2489 Ti
0.0000 0.0000 0.7511 Ti
0.3337 0.6663 0.2499 Ti
0.3337 0.6663 0.7501 Ti
0.6663 0.3337 0.2499 Ti
0.6663 0.3337 0.7501 Ti
0.1663 0.8337 0.5000 Re
0.1676 0.8324 0.0000 Re
0.5000 0.5000 0.5000 Re
0.8324 0.1676 0.0000 Re
0.8337 0.1663 0.5000 Re
0.5000 0.5000 0.0000 Tc
```


Record 2
This entry pairs a crystal structure of Er4Cu3 with its theoretical powder diffractogram. Radiation: Cu Ka. Structure: a structure optimized by DFT (GGA-PBE).
Intensities are scaled so that the largest is 100.

Principal peaks in the range 10° ≤ 2θ ≤ 80°, low angle first:
7.885 Å, rel. 2
4.117 Å, rel. 1
3.942 Å, rel. 2
3.414 Å, rel. 34
3.133 Å, rel. 1
2.414 Å, rel. 100
2.059 Å, rel. 1
1.971 Å, rel. 10
1.707 Å, rel. 17
1.527 Å, rel. 14
1.394 Å, rel. 35
1.207 Å, rel. 11

Crystal structure
```
Er4Cu3
1.0
2.4137 1.3935 7.8846
-2.4137 1.3935 7.8846
0.0000 -2.7871 7.8846
Er Cu
4 3
direct
0.1241 0.1241 0.1241 Er
0.3745 0.3745 0.3745 Er
0.6255 0.6255 0.6255 Er
0.8759 0.8759 0.8759 Er
0.2495 0.2495 0.2495 Cu
0.5000 0.5000 0.5000 Cu
0.7505 0.7505 0.7505 Cu
```


Record 3
This entry pairs a crystal structure of CaLa4Pb5 with its theoretical powder diffractogram. Radiation: Cu Ka. Structure: a structure optimized by DFT (GGA-PBE).
Intensities are scaled so that the largest is 100.

Principal peaks in the range 10° ≤ 2θ ≤ 80°, low angle first:
4.647 Å, rel. 5
3.671 Å, rel. 6
2.881 Å, rel. 100
2.596 Å, rel. 38
2.323 Å, rel. 14
2.266 Å, rel. 4
1.836 Å, rel. 14
1.731 Å, rel. 22
1.548 Å, rel. 32
1.440 Å, rel. 12
1.427 Å, rel. 12
1.298 Å, rel. 4

Crystal structure
```
CaLa4Pb5
1.0
3.6714 0.0000 0.0000
0.0000 3.6714 0.0000
0.0000 0.0000 23.2327
Ca La Pb
1 4 5
direct
0.0000 0.0000 0.0000 Ca
0.0000 0.0000 0.1977 La
0.0000 0.0000 0.3995 La
0.0000 0.0000 0.6005 La
0.0000 0.0000 0.8023 La
0.5000 0.5000 0.0965 Pb
0.5000 0.5000 0.2986 Pb
0.5000 0.5000 0.5000 Pb
0.5000 0.5000 0.7014 Pb
0.5000 0.5000 0.9035 Pb
```


Record 4
This entry pairs a crystal structure of Nd4YHo7 with its theoretical powder diffractogram. Radiation: Cu Ka. Structure: a structure optimized by DFT (GGA-PBE).
Intensities are scaled so that the largest is 100.

Principal peaks in the range 10° ≤ 2θ ≤ 80°, low angle first:
2.943 Å, rel. 36
2.883 Å, rel. 39
2.840 Å, rel. 100
2.810 Å, rel. 64
2.792 Å, rel. 34
2.761 Å, rel. 19
2.569 Å, rel. 12
2.091 Å, rel. 13
2.000 Å, rel. 12
1.961 Å, rel. 14
1.628 Å, rel. 19
1.442 Å, rel. 12

Crystal structure
```
Nd4YHo7
1.0
6.5729 0.0000 0.0000
0.9970 6.7875 0.0000
1.9935 0.5230 8.8286
Nd Y Ho
4 1 7
direct
0.1378 0.3060 0.2859 Nd
0.3374 0.8859 0.6918 Nd
0.6626 0.1141 0.3082 Nd
0.8622 0.6940 0.7141 Nd
0.5000 0.5000 0.0000 Y
0.0123 0.2526 0.9511 Ho
0.1821 0.7973 0.3562 Ho
0.3127 0.3952 0.6180 Ho
0.5000 0.0000 0.0000 Ho
0.6873 0.6048 0.3820 Ho
0.8179 0.2027 0.6438 Ho
0.9877 0.7474 0.0489 Ho
```


Record 5
This entry pairs a crystal structure of Ac6PtRh2S3 with its theoretical powder diffractogram. Radiation: Cu Ka. Structure: a structure optimized by DFT (GGA-PBE).
Intensities are scaled so that the largest is 100.

Principal peaks in the range 10° ≤ 2θ ≤ 80°, low angle first:
7.553 Å, rel. 14
3.777 Å, rel. 10
3.517 Å, rel. 27
3.097 Å, rel. 100
2.249 Å, rel. 40
2.136 Å, rel. 36
1.758 Å, rel. 20
1.549 Å, rel. 13
1.415 Å, rel. 18
1.357 Å, rel. 17
1.254 Å, rel. 13
1.233 Å, rel. 9

Crystal structure
```
Ac6PtRh2S3
1.0
3.6988 -6.4084 0.0000
3.6988 6.4084 0.0000
-2.4694 0.0000 7.5530
Ac Pt Rh S
6 1 2 3
direct
0.0828 0.4218 0.7654 Ac
0.2395 0.2395 0.2357 Ac
0.4218 0.0828 0.7654 Ac
0.5782 0.9172 0.2346 Ac
0.7605 0.7605 0.7643 Ac
0.9172 0.5782 0.2346 Ac
0.5000 0.5000 0.0000 Pt
0.1664 0.8336 0.0000 Rh
0.8336 0.1664 0.0000 Rh
0.0000 0.0000 0.5000 S
0.3328 0.6672 0.5000 S
0.6672 0.3328 0.5000 S
```


Record 6
This entry pairs a crystal structure of LiMn2ZnC with its theoretical powder diffractogram. Radiation: Cu Ka. Structure: a structure optimized by DFT (GGA-PBE).
Intensities are scaled so that the largest is 100.

Principal peaks in the range 10° ≤ 2θ ≤ 80°, low angle first:
4.013 Å, rel. 10
3.809 Å, rel. 19
2.763 Å, rel. 35
2.237 Å, rel. 100
2.007 Å, rel. 22
1.905 Å, rel. 37
1.775 Å, rel. 5
1.704 Å, rel. 4
1.568 Å, rel. 11
1.381 Å, rel. 23
1.347 Å, rel. 11
1.299 Å, rel. 3

Crystal structure
```
LiMn2ZnC
1.0
3.8094 0.0000 0.0000
0.0000 3.8094 0.0000
0.0000 0.0000 4.0130
Li Mn Zn C
1 2 1 1
direct
0.0000 0.0000 0.0000 Li
0.0000 0.5000 0.5000 Mn
0.5000 0.0000 0.5000 Mn
0.5000 0.5000 0.0000 Zn
0.0000 0.0000 0.5000 C
```


Record 7
This entry pairs a crystal structure of RbSn3Br8 with its theoretical powder diffractogram. Radiation: Cu Ka. Structure: a structure optimized by DFT (GGA-PBE).
Intensities are scaled so that the largest is 100.

Principal peaks in the range 10° ≤ 2θ ≤ 80°, low angle first:
8.345 Å, rel. 22
5.625 Å, rel. 19
5.376 Å, rel. 100
4.535 Å, rel. 12
4.171 Å, rel. 20
3.573 Å, rel. 18
3.473 Å, rel. 13
3.443 Å, rel. 14
2.994 Å, rel. 34
2.845 Å, rel. 51
2.797 Å, rel. 15
2.062 Å, rel. 22

Crystal structure
```
RbSn3Br8
1.0
9.0706 -2.8447 0.0000
9.0706 2.8447 0.0000
-4.4698 0.0000 10.7193
Rb Sn Br
1 3 8
direct
0.0000 0.0000 0.0000 Rb
0.0405 0.0405 0.5108 Sn
0.2563 0.2563 0.9789 Sn
0.3597 0.3597 0.5699 Sn
0.1062 0.1062 0.8103 Br
0.1944 0.1944 0.5154 Br
0.2119 0.2119 0.1691 Br
0.4116 0.4116 0.8202 Br
0.5288 0.5288 0.5463 Br
0.7840 0.7840 0.9622 Br
0.8799 0.8799 0.5492 Br
0.9604 0.9604 0.2678 Br
```


Record 8
This entry pairs a crystal structure of Cu4As3PbO12 with its theoretical powder diffractogram. Radiation: Cu Ka. Structure: a structure optimized by DFT (GGA-PBE).
Intensities are scaled so that the largest is 100.

Principal peaks in the range 10° ≤ 2θ ≤ 80°, low angle first:
3.433 Å, rel. 62
3.283 Å, rel. 37
3.215 Å, rel. 100
3.100 Å, rel. 62
2.975 Å, rel. 75
2.950 Å, rel. 26
2.883 Å, rel. 41
2.859 Å, rel. 39
2.847 Å, rel. 32
2.729 Å, rel. 51
2.653 Å, rel. 45
2.573 Å, rel. 33

Crystal structure
```
Cu4As3PbO12
1.0
5.3174 0.0000 0.0000
0.5723 8.5065 0.0000
0.0843 0.0483 11.5402
Cu As Pb O
8 6 2 24
direct
0.0000 0.0000 0.0000 Cu
0.0000 0.5000 0.5000 Cu
0.2306 0.0376 0.5190 Cu
0.4675 0.0844 0.8219 Cu
0.4947 0.7142 0.6672 Cu
0.5053 0.2858 0.3328 Cu
0.5325 0.9156 0.1781 Cu
0.7694 0.9624 0.4810 Cu
0.0076 0.1012 0.2659 As
0.4624 0.7285 0.9471 As
0.4698 0.6633 0.3892 As
0.5302 0.3367 0.6108 As
0.5376 0.2715 0.0529 As
0.9924 0.8988 0.7341 As
0.0021 0.5428 0.1690 Pb
0.9979 0.4572 0.8310 Pb
0.1416 0.7127 0.7339 O
0.1696 0.0261 0.1448 O
0.2047 0.0315 0.6840 O
0.2101 0.3898 0.6200 O
0.2278 0.6080 0.9834 O
0.2513 0.1093 0.3652 O
0.2986 0.4946 0.3968 O
0.3125 0.9155 0.9137 O
0.3294 0.2474 0.9420 O
0.3705 0.7521 0.2625 O
0.3742 0.3405 0.1756 O
0.3868 0.7832 0.5075 O
0.6132 0.2168 0.4925 O
0.6258 0.6595 0.8244 O
0.6295 0.2479 0.7375 O
0.6706 0.7526 0.0580 O
0.6875 0.0845 0.0863 O
0.7014 0.5054 0.6032 O
0.7487 0.8907 0.6348 O
0.7722 0.3920 0.0166 O
0.7899 0.6102 0.3800 O
0.7953 0.9685 0.3160 O
0.8304 0.9739 0.8552 O
0.8584 0.2873 0.2661 O
```


> Number 6 is which compound?

LiMn2ZnC


> Which formula does entry 6 have?

LiMn2ZnC